For Ta12Al, a cell relaxed with PBE gives the calculated powder diffraction line list in this record (Cu Kα (weighted mean of Kα1 and Kα2)).
Lines closer than 0.1° are merged.

Structural model:
a b c (Å): 10.2235 10.2235 10.2235
angles (deg): 30.22 30.22 30.22
Fractional positions:
Ta (0.0443, 0.0443, 0.0443)
Ta (0.0877, 0.5917, 0.5917)
Ta (0.1499, 0.1499, 0.1499)
Ta (0.3341, 0.3341, 0.3341)
Ta (0.4083, 0.4083, 0.9123)
Ta (0.4083, 0.9123, 0.4083)
Ta (0.5917, 0.0877, 0.5917)
Ta (0.5917, 0.5917, 0.0877)
Ta (0.6659, 0.6659, 0.6659)
Ta (0.8501, 0.8501, 0.8501)
Ta (0.9123, 0.4083, 0.4083)
Ta (0.9557, 0.9557, 0.9557)
Al (0.5000, 0.5000, 0.5000)

Main lines, sorted by position (15 to 90 degrees two-theta):
33.6°, I = 30; 36.4°, I = 58; 38.5°, I = 72; 39.1°, I = 100; 41.0°, I = 30; 42.1°, I = 39; 61.9°, I = 24; 70.7°, I = 30